No. 1
Structure and computed powder diffractogram of Nb8P5 (the GGA-PBE geometry in the Materials Project; Cu Kα).
Intensities are scaled so that the largest is 100.

Peak list (10 most intense, 2θ = 10–90°, low angle first)
2θ (°), I (rel.)
32.33, 25
32.87, 46
37.51, 44
38.14, 100
38.31, 34
38.90, 37
40.57, 26
42.43, 31
43.96, 20
53.10, 35

Atomic structure:
```
data_Nb8P5
_chemical_formula_sum 'Nb32 P20'
_space_group_name_H-M_alt 'P m c 21'
_space_group_IT_number 26
_cell_length_a 3.4492
_cell_length_b 9.4341
_cell_length_c 26.6828
_cell_angle_alpha 90.00
_cell_angle_beta 90.00
_cell_angle_gamma 90.00
loop_
_space_group_symop_operation_xyz
'x,y,z'
'-x,-y,z+1/2'
'-x,y,z'
'x,-y,z+1/2'
loop_
_atom_site_label
_atom_site_fract_x
_atom_site_fract_y
_atom_site_fract_z
_atom_site_occupancy
Nb1 0.0000 0.9999 0.1085 1
Nb2 0.0000 0.1627 0.0000 1
Nb3 0.0000 0.2500 0.8262 1
Nb4 0.0000 0.2526 0.2728 1
Nb5 0.0000 0.3377 0.6509 1
Nb6 0.0000 0.4993 0.0414 1
Nb7 0.5000 0.0216 0.3264 1
Nb8 0.5000 0.0750 0.4517 1
Nb9 0.5000 0.0833 0.2042 1
Nb10 0.5000 0.2458 0.7417 1
Nb11 0.5000 0.2474 0.5611 1
Nb12 0.5000 0.2516 0.0903 1
Nb13 0.5000 0.2516 0.9090 1
Nb14 0.5000 0.4188 0.2004 1
Nb15 0.5000 0.4201 0.4481 1
Nb16 0.5000 0.4822 0.3202 1
P1 0.0000 0.0408 0.7602 1
P2 0.0000 0.0460 0.8976 1
P3 0.0000 0.2439 0.1628 1
P4 0.0000 0.2559 0.4865 1
P5 0.0000 0.4486 0.7523 1
P6 0.0000 0.4643 0.8899 1
P7 0.5000 0.0064 0.0390 1
P8 0.5000 0.1435 0.6552 1
P9 0.5000 0.3579 0.9948 1
P10 0.5000 0.4934 0.6110 1
```


No. 2
Structure and computed powder diffractogram of Nb2P5 (the GGA-PBE geometry in the Materials Project; Cu Kα).
Intensities are scaled so that the largest is 100.

Peak list (10 most intense, 2θ = 10–90°, low angle first)
2θ (°), I (rel.)
10.49, 20
22.99, 55
23.88, 21
28.87, 28
34.13, 97
37.52, 23
43.47, 65
43.88, 100
44.36, 43
54.67, 26

Atomic structure:
```
data_Nb2P5
_chemical_formula_sum 'Nb8 P20'
_space_group_name_H-M_alt 'P n m a'
_space_group_IT_number 62
_cell_length_a 16.8738
_cell_length_b 3.3576
_cell_length_c 7.9482
_cell_angle_alpha 90.00
_cell_angle_beta 90.00
_cell_angle_gamma 90.00
loop_
_space_group_symop_operation_xyz
'x,y,z'
'-x,-y,-z'
'-x+1/2,-y,z+1/2'
'x+1/2,y,-z+1/2'
'x+1/2,-y+1/2,-z+1/2'
'-x+1/2,y+1/2,z+1/2'
'-x,y+1/2,-z'
'x,-y+1/2,z'
loop_
_atom_site_label
_atom_site_fract_x
_atom_site_fract_y
_atom_site_fract_z
_atom_site_occupancy
Nb1 0.0953 0.2500 0.1643 1
Nb2 0.2257 0.7500 0.6722 1
P1 0.0216 0.2500 0.8804 1
P2 0.0405 0.2500 0.4619 1
P3 0.1155 0.2500 0.6840 1
P4 0.1843 0.7500 0.9940 1
P5 0.1860 0.7500 0.3478 1
```


No. 3
Structure and computed powder diffractogram of Nb7P4 (the GGA-PBE geometry in the Materials Project; Cu Kα).
Intensities are scaled so that the largest is 100.

Peak list (10 most intense, 2θ = 10–90°, low angle first)
2θ (°), I (rel.)
32.28, 33
33.43, 51
34.98, 79
36.59, 69
36.99, 33
38.90, 82
40.06, 100
40.20, 72
40.46, 70
52.95, 59

Atomic structure:
```
data_Nb7P4
_chemical_formula_sum 'Nb28 P16'
_space_group_name_H-M_alt 'C 1 2/m 1'
_space_group_IT_number 12
_cell_length_a 15.0824
_cell_length_b 3.4587
_cell_length_c 13.9571
_cell_angle_alpha 90.00
_cell_angle_beta 104.81
_cell_angle_gamma 90.00
loop_
_space_group_symop_operation_xyz
'x,y,z'
'-x,-y,-z'
'-x,y,-z'
'x,-y,z'
'x+1/2,y+1/2,z'
'-x+1/2,-y+1/2,-z'
'-x+1/2,y+1/2,-z'
'x+1/2,-y+1/2,z'
loop_
_atom_site_label
_atom_site_fract_x
_atom_site_fract_y
_atom_site_fract_z
_atom_site_occupancy
Nb1 0.0000 0.0000 0.0000 1
Nb2 0.0000 0.5000 0.5000 1
Nb3 0.0037 0.0000 0.6656 1
Nb4 0.0682 0.5000 0.1726 1
Nb5 0.1621 0.5000 0.9725 1
Nb6 0.1749 0.0000 0.5406 1
Nb7 0.1950 0.0000 0.3125 1
Nb8 0.2099 0.0000 0.8003 1
P1 0.0643 0.0000 0.8496 1
P2 0.1260 0.5000 0.3982 1
P3 0.1306 0.5000 0.6644 1
P4 0.1737 0.0000 0.1125 1
```


No. 4
Structure and computed powder diffractogram of Nb5P4Pd4 (the GGA-PBE geometry in the Materials Project; Cu Kα).
Intensities are scaled so that the largest is 100.

Peak list (10 most intense, 2θ = 10–90°, low angle first)
2θ (°), I (rel.)
31.11, 26
34.30, 17
35.64, 23
38.50, 17
39.72, 100
43.47, 18
44.16, 29
50.05, 19
68.93, 15
70.46, 22

Atomic structure:
```
data_Nb5P4Pd4
_chemical_formula_sum 'Nb10 P8 Pd8'
_space_group_name_H-M_alt 'I 4/m'
_space_group_IT_number 87
_space_group_name_Hall '-I 4'
_cell_length_a 10.4566
_cell_length_b 10.4566
_cell_length_c 3.6451
_cell_angle_alpha 90.00
_cell_angle_beta 90.00
_cell_angle_gamma 90.00
loop_
_atom_site_label
_atom_site_fract_x
_atom_site_fract_y
_atom_site_fract_z
_atom_site_occupancy
Nb1 0.0000 0.0000 0.0000 1
Nb2 0.1227 0.8126 0.5000 1
P1 0.0591 0.2430 0.0000 1
Pd1 0.0956 0.3843 0.5000 1
```